For Pm12ZnRh6, a structure optimized by DFT (GGA-PBE) gives the theoretical powder diffraction line list in this record (Cu Kα (λ = 1.5418 Å)).
Kinematic intensities with the Lorentz-polarization factor, no thermal factor.

Structure:
```
data_Pm12ZnRh6
_chemical_formula_sum 'Pm24 Zn2 Rh12'
_space_group_name_H-M_alt 'I m -3'
_space_group_IT_number 204
_space_group_name_Hall '-I 2 2 3'
_cell_length_a 10.103
_cell_length_b 10.103
_cell_length_c 10.103
_cell_angle_alpha 90.00
_cell_angle_beta 90.00
_cell_angle_gamma 90.00
loop_
_atom_site_label
_atom_site_fract_x
_atom_site_fract_y
_atom_site_fract_z
Pm1 0.000 0.186 0.303
Zn1 0.000 0.000 0.000
Rh1 0.000 0.368 0.500
```

Principal peaks in the range 10 to 80 degrees two-theta, in order of rising 2θ:
two_theta  d [Å]  Rel. int.  hkl
27.9  3.195  16  3 1 0
30.7  2.916  24  2 2 2
33.2  2.700  100  3 2 1
35.5  2.526  12  4 0 0
37.8  2.381  12  3 3 0
45.8  1.981  22  5 1 0
52.8  1.733  22  5 0 3
54.5  1.684  15  6 0 0
56.1  1.639  28  5 3 2
65.3  1.429  15  5 4 3